1.
Starting from DFT lattice parameters and positions (GGA-PBE), the powder diffractogram of PdS4I was calculated for CuKα.

Top 10 peaks for 2θ = 10–90°, sorted by position:
- 12.4°, d = 7.163 Å, I = 46.5
- 12.7°, d = 6.984 Å, I = 17.9
- 15.8°, d = 5.598 Å, I = 23.8
- 20.7°, d = 4.282 Å, I = 40.1
- 23.5°, d = 3.786 Å, I = 100.0
- 29.4°, d = 3.041 Å, I = 27.1
- 30.7°, d = 2.909 Å, I = 43.0
- 33.6°, d = 2.671 Å, I = 18.4
- 34.6°, d = 2.593 Å, I = 31.5
- 46.5°, d = 1.952 Å, I = 20.8

```
data_PdS4I
_symmetry_space_group_name_H-M 'P 1'
_symmetry_Int_Tables_number 1
_cell_length_a 8.5312
_cell_length_b 8.5312
_cell_length_c 6.1889
_cell_angle_alpha 105.93
_cell_angle_beta 105.93
_cell_angle_gamma 114.20
loop_
_symmetry_equiv_pos_as_xyz
'x,y,z'
loop_
_atom_site_label
_atom_site_fract_x
_atom_site_fract_y
_atom_site_fract_z
Pd1 0.2093 0.7907 0.7500
Pd2 0.7907 0.2093 0.2500
S1 0.1055 0.2893 0.4723
S2 0.1280 0.4907 0.7584
S3 0.2893 0.1055 0.9723
S4 0.4907 0.1280 0.2584
S5 0.5093 0.8720 0.7416
S6 0.7107 0.8945 0.0277
S7 0.8720 0.5093 0.2416
S8 0.8945 0.7107 0.5277
I1 0.3740 0.6260 0.2500
I2 0.6260 0.3740 0.7500
```

2.
Starting from DFT lattice parameters and positions (GGA-PBE), the powder diffractogram of Pd2S8I was calculated for CuKα.

Top 10 peaks for 2θ = 10–90°, sorted by position:
- 12.8°, d = 6.919 Å, I = 100.0
- 18.6°, d = 4.764 Å, I = 53.7
- 22.5°, d = 3.951 Å, I = 60.4
- 23.3°, d = 3.811 Å, I = 75.9
- 23.8°, d = 3.732 Å, I = 89.9
- 26.4°, d = 3.373 Å, I = 51.6
- 26.6°, d = 3.349 Å, I = 63.5
- 26.8°, d = 3.330 Å, I = 53.1
- 41.8°, d = 2.159 Å, I = 41.1
- 42.2°, d = 2.141 Å, I = 52.6

```
data_Pd2S8I
_symmetry_space_group_name_H-M 'P 1'
_symmetry_Int_Tables_number 1
_cell_length_a 4.5364
_cell_length_b 7.4658
_cell_length_c 10.0610
_cell_angle_alpha 68.53
_cell_angle_beta 85.49
_cell_angle_gamma 89.01
loop_
_symmetry_equiv_pos_as_xyz
'x,y,z'
loop_
_atom_site_label
_atom_site_fract_x
_atom_site_fract_y
_atom_site_fract_z
Pd1 0.2467 0.3568 0.2009
Pd2 0.7533 0.6432 0.7991
S1 0.1827 0.2901 0.4507
S2 0.2496 0.5400 0.8007
S3 0.3118 0.3110 0.9832
S4 0.4911 0.8830 0.4624
S5 0.5089 0.1170 0.5376
S6 0.6882 0.6890 0.0168
S7 0.7504 0.4600 0.1993
S8 0.8173 0.7099 0.5493
I1 0.0000 0.0000 0.0000
```

3.
Starting from DFT lattice parameters and positions (GGA-PBE), the powder diffractogram of SbPd3I was calculated for CuKα.

Top 10 peaks for 2θ = 10–90°, sorted by position:
- 24.0°, d = 3.709 Å, I = 20.4
- 25.3°, d = 3.521 Å, I = 21.8
- 30.0°, d = 2.975 Å, I = 21.5
- 36.4°, d = 2.469 Å, I = 25.7
- 37.0°, d = 2.433 Å, I = 20.1
- 38.1°, d = 2.363 Å, I = 39.0
- 40.4°, d = 2.231 Å, I = 46.3
- 41.3°, d = 2.186 Å, I = 100.0
- 42.3°, d = 2.135 Å, I = 62.9
- 43.3°, d = 2.088 Å, I = 23.1

```
data_SbPd3I
_symmetry_space_group_name_H-M 'P 1'
_symmetry_Int_Tables_number 1
_cell_length_a 4.8726
_cell_length_b 5.7303
_cell_length_c 8.9377
_cell_angle_alpha 90.00
_cell_angle_beta 93.15
_cell_angle_gamma 90.00
loop_
_symmetry_equiv_pos_as_xyz
'x,y,z'
loop_
_atom_site_label
_atom_site_fract_x
_atom_site_fract_y
_atom_site_fract_z
Sb1 0.1712 0.2500 0.3854
Sb2 0.8288 0.7500 0.6146
Pd1 0.1611 0.7500 0.3646
Pd2 0.3396 0.5054 0.6329
Pd3 0.3396 0.9946 0.6329
Pd4 0.6604 0.0054 0.3671
Pd5 0.6604 0.4946 0.3671
Pd6 0.8389 0.2500 0.6354
I1 0.2205 0.2500 0.8805
I2 0.7795 0.7500 0.1195
```

4.
Starting from DFT lattice parameters and positions (GGA-PBE), the powder diffractogram of ScPdI was calculated for CuKα.

Top 10 peaks for 2θ = 10–90°, sorted by position:
- 26.0°, d = 3.430 Å, I = 74.1
- 26.5°, d = 3.360 Å, I = 37.0
- 28.4°, d = 3.139 Å, I = 97.8
- 30.2°, d = 2.962 Å, I = 81.5
- 33.0°, d = 2.714 Å, I = 63.7
- 33.3°, d = 2.688 Å, I = 100.0
- 34.6°, d = 2.589 Å, I = 96.5
- 39.3°, d = 2.293 Å, I = 62.4
- 40.3°, d = 2.236 Å, I = 49.2
- 44.1°, d = 2.053 Å, I = 51.2

```
data_ScPdI
_symmetry_space_group_name_H-M 'P 1'
_symmetry_Int_Tables_number 1
_cell_length_a 7.4815
_cell_length_b 7.2093
_cell_length_c 8.6491
_cell_angle_alpha 55.40
_cell_angle_beta 52.49
_cell_angle_gamma 72.11
loop_
_symmetry_equiv_pos_as_xyz
'x,y,z'
loop_
_atom_site_label
_atom_site_fract_x
_atom_site_fract_y
_atom_site_fract_z
Sc1 0.2294 0.7706 0.3517
Sc2 0.6017 0.8983 0.4794
Sc3 0.7706 0.2294 0.6483
Sc4 0.8983 0.6017 0.0206
Pd1 0.1397 0.9556 0.5872
Pd2 0.6628 0.9325 0.1103
Pd3 0.9325 0.6628 0.2944
Pd4 0.9556 0.1397 0.3175
I1 0.3707 0.4565 0.8715
I2 0.3785 0.9487 0.8793
I3 0.4565 0.3707 0.3013
I4 0.9487 0.3785 0.7935
```

5.
Starting from DFT lattice parameters and positions (GGA-PBE), the powder diffractogram of PdSe2I was calculated for CuKα.

Top 10 peaks for 2θ = 10–90°, sorted by position:
- 15.8°, d = 5.621 Å, I = 39.7
- 16.4°, d = 5.400 Å, I = 36.9
- 25.4°, d = 3.511 Å, I = 29.8
- 27.5°, d = 3.244 Å, I = 42.1
- 27.7°, d = 3.224 Å, I = 100.0
- 32.4°, d = 2.767 Å, I = 21.7
- 39.4°, d = 2.287 Å, I = 31.6
- 42.0°, d = 2.150 Å, I = 30.5
- 47.3°, d = 1.922 Å, I = 24.7
- 51.1°, d = 1.789 Å, I = 32.9

```
data_PdSe2I
_symmetry_space_group_name_H-M 'P 1'
_symmetry_Int_Tables_number 1
_cell_length_a 6.1194
_cell_length_b 11.4799
_cell_length_c 6.4470
_cell_angle_alpha 90.00
_cell_angle_beta 90.00
_cell_angle_gamma 90.00
loop_
_symmetry_equiv_pos_as_xyz
'x,y,z'
loop_
_atom_site_label
_atom_site_fract_x
_atom_site_fract_y
_atom_site_fract_z
Pd1 0.0865 0.1179 0.0000
Pd2 0.4135 0.6179 0.5000
Pd3 0.5865 0.3821 0.0000
Pd4 0.9135 0.8821 0.5000
Se1 0.0403 0.5389 0.5145
Se2 0.2063 0.3148 0.9059
Se3 0.2937 0.8148 0.4059
Se4 0.4597 0.0389 0.0145
Se5 0.5403 0.9611 0.5145
Se6 0.7063 0.1852 0.9059
Se7 0.7937 0.6852 0.4059
Se8 0.9597 0.4611 0.0145
I1 0.0268 0.1121 0.4501
I2 0.4732 0.6121 0.9501
I3 0.5268 0.3879 0.4501
I4 0.9732 0.8879 0.9501
```

6.
Starting from DFT lattice parameters and positions (GGA-PBE), the powder diffractogram of U2PdSe4I was calculated for CuKα.

Top 10 peaks for 2θ = 10–90°, sorted by position:
- 14.9°, d = 5.962 Å, I = 24.5
- 19.3°, d = 4.587 Å, I = 26.3
- 26.9°, d = 3.319 Å, I = 25.8
- 28.3°, d = 3.149 Å, I = 28.2
- 31.2°, d = 2.865 Å, I = 100.0
- 32.5°, d = 2.754 Å, I = 61.8
- 33.1°, d = 2.703 Å, I = 22.9
- 43.8°, d = 2.067 Å, I = 25.1
- 44.5°, d = 2.036 Å, I = 23.9
- 55.4°, d = 1.660 Å, I = 22.8

```
data_U2PdSe4I
_symmetry_space_group_name_H-M 'P 1'
_symmetry_Int_Tables_number 1
_cell_length_a 12.1175
_cell_length_b 4.0720
_cell_length_c 9.9401
_cell_angle_alpha 90.00
_cell_angle_beta 116.59
_cell_angle_gamma 90.00
loop_
_symmetry_equiv_pos_as_xyz
'x,y,z'
loop_
_atom_site_label
_atom_site_fract_x
_atom_site_fract_y
_atom_site_fract_z
U1 0.2019 0.0000 0.2871
U2 0.2981 0.5000 0.7129
U3 0.7019 0.5000 0.2871
U4 0.7981 0.0000 0.7129
Pd1 0.0000 0.0000 0.5000
Pd2 0.5000 0.5000 0.5000
Se1 0.1137 0.5000 0.4164
Se2 0.1698 0.0000 0.7771
Se3 0.3302 0.5000 0.2229
Se4 0.3863 0.0000 0.5836
Se5 0.6137 0.0000 0.4164
Se6 0.6698 0.5000 0.7771
Se7 0.8302 0.0000 0.2229
Se8 0.8863 0.5000 0.5836
I1 0.0000 0.5000 0.0000
I2 0.5000 0.0000 0.0000
```

7.
Starting from DFT lattice parameters and positions (GGA-PBE), the powder diffractogram of SnPdI was calculated for CuKα.

Top 10 peaks for 2θ = 10–90°, sorted by position:
- 13.3°, d = 6.642 Å, I = 78.1
- 24.0°, d = 3.713 Å, I = 74.6
- 24.8°, d = 3.590 Å, I = 56.3
- 26.8°, d = 3.321 Å, I = 100.0
- 33.0°, d = 2.716 Å, I = 60.4
- 36.6°, d = 2.458 Å, I = 43.5
- 36.7°, d = 2.447 Å, I = 54.1
- 37.0°, d = 2.429 Å, I = 54.6
- 37.9°, d = 2.375 Å, I = 73.9
- 46.3°, d = 1.960 Å, I = 41.3

```
data_SnPdI
_symmetry_space_group_name_H-M 'P 1'
_symmetry_Int_Tables_number 1
_cell_length_a 8.2449
_cell_length_b 8.2449
_cell_length_c 7.1805
_cell_angle_alpha 115.56
_cell_angle_beta 115.56
_cell_angle_gamma 100.37
loop_
_symmetry_equiv_pos_as_xyz
'x,y,z'
loop_
_atom_site_label
_atom_site_fract_x
_atom_site_fract_y
_atom_site_fract_z
Sn1 0.0312 0.9688 0.5000
Sn2 0.1039 0.6235 0.8611
Sn3 0.6235 0.1039 0.3611
Sn4 0.9688 0.0312 0.0000
Pd1 0.2656 0.9894 0.3195
Pd2 0.2661 0.9901 0.9332
Pd3 0.9894 0.2656 0.8195
Pd4 0.9901 0.2661 0.4332
I1 0.0965 0.5185 0.3045
I2 0.5185 0.0965 0.8045
I3 0.5743 0.6789 0.1318
I4 0.6789 0.5743 0.6318
```

8.
Starting from DFT lattice parameters and positions (GGA-PBE), the powder diffractogram of Sn2Pd2I was calculated for CuKα.

Top 10 peaks for 2θ = 10–90°, sorted by position:
- 10.7°, d = 8.288 Å, I = 32.4
- 27.8°, d = 3.210 Å, I = 100.0
- 33.9°, d = 2.643 Å, I = 54.7
- 35.4°, d = 2.538 Å, I = 28.1
- 38.9°, d = 2.314 Å, I = 41.5
- 43.7°, d = 2.072 Å, I = 21.5
- 46.0°, d = 1.972 Å, I = 40.9
- 46.3°, d = 1.963 Å, I = 43.3
- 54.6°, d = 1.680 Å, I = 31.0
- 65.3°, d = 1.429 Å, I = 26.0

```
data_Sn2Pd2I
_symmetry_space_group_name_H-M 'P 1'
_symmetry_Int_Tables_number 1
_cell_length_a 3.9445
_cell_length_b 3.9445
_cell_length_c 16.5755
_cell_angle_alpha 90.00
_cell_angle_beta 90.00
_cell_angle_gamma 90.00
loop_
_symmetry_equiv_pos_as_xyz
'x,y,z'
loop_
_atom_site_label
_atom_site_fract_x
_atom_site_fract_y
_atom_site_fract_z
Sn1 0.0000 0.0000 0.1348
Sn2 0.0000 0.0000 0.8652
Sn3 0.5000 0.5000 0.3652
Sn4 0.5000 0.5000 0.6348
Pd1 0.0000 0.5000 0.2500
Pd2 0.0000 0.5000 0.7500
Pd3 0.5000 0.0000 0.2500
Pd4 0.5000 0.0000 0.7500
I1 0.0000 0.0000 0.5000
I2 0.5000 0.5000 0.0000
```

9.
Starting from DFT lattice parameters and positions (GGA-PBE), the powder diffractogram of Sr3PdI3 was calculated for CuKα.

Top 10 peaks for 2θ = 10–90°, sorted by position:
- 23.4°, d = 3.794 Å, I = 18.1
- 25.4°, d = 3.513 Å, I = 9.5
- 27.1°, d = 3.286 Å, I = 100.0
- 38.8°, d = 2.323 Å, I = 74.3
- 45.8°, d = 1.981 Å, I = 9.9
- 48.0°, d = 1.897 Å, I = 25.9
- 56.0°, d = 1.643 Å, I = 11.8
- 63.3°, d = 1.469 Å, I = 31.6
- 70.2°, d = 1.341 Å, I = 22.6
- 89.5°, d = 1.095 Å, I = 14.3

```
data_Sr3PdI3
_symmetry_space_group_name_H-M 'P 1'
_symmetry_Int_Tables_number 1
_cell_length_a 11.3824
_cell_length_b 11.3824
_cell_length_c 11.3824
_cell_angle_alpha 109.47
_cell_angle_beta 109.47
_cell_angle_gamma 109.47
loop_
_symmetry_equiv_pos_as_xyz
'x,y,z'
loop_
_atom_site_label
_atom_site_fract_x
_atom_site_fract_y
_atom_site_fract_z
Sr1 0.0129 0.0258 0.2629
Sr2 0.0129 0.4871 0.7500
Sr3 0.0258 0.2629 0.0129
Sr4 0.2371 0.2629 0.7500
Sr5 0.2371 0.4742 0.4871
Sr6 0.2629 0.0129 0.0258
Sr7 0.2629 0.7500 0.2371
Sr8 0.4742 0.4871 0.2371
Sr9 0.4871 0.2371 0.4742
Sr10 0.4871 0.7500 0.0129
Sr11 0.7500 0.0129 0.4871
Sr12 0.7500 0.2371 0.2629
Pd1 0.0000 0.2500 0.5000
Pd2 0.2500 0.2500 0.2500
Pd3 0.2500 0.5000 0.0000
Pd4 0.5000 0.0000 0.2500
I1 0.2500 0.7548 0.7452
I2 0.2500 0.9952 0.5048
I3 0.5048 0.2500 0.9952
I4 0.5048 0.7548 0.5095
I5 0.5095 0.5048 0.7548
I6 0.7452 0.2500 0.7548
I7 0.7452 0.9952 0.9905
I8 0.7548 0.5095 0.5048
I9 0.7548 0.7452 0.2500
I10 0.9905 0.7452 0.9952
I11 0.9952 0.5048 0.2500
I12 0.9952 0.9905 0.7452
```

10.
Starting from DFT lattice parameters and positions (GGA-PBE), the powder diffractogram of Sr4PdI6 was calculated for CuKα.

Top 10 peaks for 2θ = 10–90°, sorted by position:
- 19.7°, d = 4.496 Å, I = 58.8
- 27.0°, d = 3.303 Å, I = 87.0
- 28.9°, d = 3.085 Å, I = 72.7
- 31.7°, d = 2.824 Å, I = 31.2
- 32.3°, d = 2.770 Å, I = 100.0
- 32.9°, d = 2.722 Å, I = 78.4
- 37.4°, d = 2.407 Å, I = 35.7
- 38.6°, d = 2.332 Å, I = 55.6
- 46.3°, d = 1.960 Å, I = 31.7
- 57.2°, d = 1.609 Å, I = 33.3

```
data_Sr4PdI6
_symmetry_space_group_name_H-M 'P 1'
_symmetry_Int_Tables_number 1
_cell_length_a 10.8876
_cell_length_b 10.8876
_cell_length_c 7.9767
_cell_angle_alpha 90.00
_cell_angle_beta 90.00
_cell_angle_gamma 90.00
loop_
_symmetry_equiv_pos_as_xyz
'x,y,z'
loop_
_atom_site_label
_atom_site_fract_x
_atom_site_fract_y
_atom_site_fract_z
Sr1 0.0011 0.7500 0.0807
Sr2 0.2500 0.5011 0.4193
Sr3 0.2500 0.9989 0.4193
Sr4 0.4989 0.7500 0.0807
Sr5 0.5011 0.2500 0.9193
Sr6 0.7500 0.0011 0.5807
Sr7 0.7500 0.4989 0.5807
Sr8 0.9989 0.2500 0.9193
Pd1 0.2500 0.7500 0.2500
Pd2 0.7500 0.2500 0.7500
I1 0.0421 0.5421 0.7500
I2 0.0421 0.9579 0.7500
I3 0.2500 0.2500 0.1503
I4 0.2500 0.2500 0.6503
I5 0.4579 0.5421 0.7500
I6 0.4579 0.9579 0.7500
I7 0.5421 0.0421 0.2500
I8 0.5421 0.4579 0.2500
I9 0.7500 0.7500 0.3497
I10 0.7500 0.7500 0.8497
I11 0.9579 0.0421 0.2500
I12 0.9579 0.4579 0.2500
```

11.
Starting from DFT lattice parameters and positions (GGA-PBE), the powder diffractogram of TePd4I5 was calculated for CuKα.

Top 10 peaks for 2θ = 10–90°, sorted by position:
- 11.2°, d = 7.878 Å, I = 21.3
- 31.2°, d = 2.867 Å, I = 100.0
- 31.4°, d = 2.847 Å, I = 49.3
- 44.6°, d = 2.032 Å, I = 52.7
- 44.8°, d = 2.023 Å, I = 18.6
- 45.1°, d = 2.009 Å, I = 35.6
- 55.7°, d = 1.649 Å, I = 18.9
- 65.1°, d = 1.434 Å, I = 11.0
- 74.0°, d = 1.280 Å, I = 15.2
- 82.9°, d = 1.165 Å, I = 17.1

```
data_TePd4I5
_symmetry_space_group_name_H-M 'P 1'
_symmetry_Int_Tables_number 1
_cell_length_a 9.0425
_cell_length_b 9.0425
_cell_length_c 8.1291
_cell_angle_alpha 103.90
_cell_angle_beta 103.90
_cell_angle_gamma 25.86
loop_
_symmetry_equiv_pos_as_xyz
'x,y,z'
loop_
_atom_site_label
_atom_site_fract_x
_atom_site_fract_y
_atom_site_fract_z
Te1 0.0000 0.0000 0.0000
Pd1 0.1660 0.1660 0.0928
Pd2 0.4978 0.4978 0.7576
Pd3 0.5022 0.5022 0.2424
Pd4 0.8340 0.8340 0.9072
I1 0.0000 0.0000 0.5000
I2 0.3373 0.3373 0.6778
I3 0.3391 0.3391 0.1492
I4 0.6609 0.6609 0.8508
I5 0.6627 0.6627 0.3222
```

12.
Starting from DFT lattice parameters and positions (GGA-PBE), the powder diffractogram of Te4Pd2I was calculated for CuKα.

Top 10 peaks for 2θ = 10–90°, sorted by position:
- 13.4°, d = 6.585 Å, I = 49.4
- 27.6°, d = 3.236 Å, I = 61.9
- 27.9°, d = 3.192 Å, I = 71.1
- 32.8°, d = 2.731 Å, I = 100.0
- 34.1°, d = 2.627 Å, I = 40.2
- 34.8°, d = 2.581 Å, I = 38.1
- 44.4°, d = 2.040 Å, I = 72.5
- 48.3°, d = 1.885 Å, I = 32.9
- 49.5°, d = 1.841 Å, I = 57.0
- 68.7°, d = 1.366 Å, I = 27.0

```
data_Te4Pd2I
_symmetry_space_group_name_H-M 'P 1'
_symmetry_Int_Tables_number 1
_cell_length_a 9.0367
_cell_length_b 8.9834
_cell_length_c 7.3655
_cell_angle_alpha 66.25
_cell_angle_beta 65.50
_cell_angle_gamma 48.25
loop_
_symmetry_equiv_pos_as_xyz
'x,y,z'
loop_
_atom_site_label
_atom_site_fract_x
_atom_site_fract_y
_atom_site_fract_z
Te1 0.1883 0.1969 0.3090
Te2 0.1943 0.6910 0.8031
Te3 0.1969 0.1883 0.8057
Te4 0.3090 0.8057 0.1883
Te5 0.6910 0.1943 0.8117
Te6 0.8031 0.8117 0.1943
Te7 0.8057 0.3090 0.1969
Te8 0.8117 0.8031 0.6910
Pd1 0.0000 0.0000 0.0000
Pd2 0.0000 0.0000 0.5000
Pd3 0.0000 0.5000 0.0000
Pd4 0.5000 0.0000 0.0000
I1 0.3750 0.3750 0.3750
I2 0.6250 0.6250 0.6250
```